Record 1
Calculated X-ray diffraction stick pattern of Pr3Cu2Hg4 for a wavelength of 1.5418 Å, from a GGA-PBE-relaxed structure.

The 10 most intense peaks (2θ from 10° to 80°), low angle first:
2θ 24.62, intensity 21
2θ 32.46, intensity 28
2θ 32.63, intensity 75
2θ 32.86, intensity 90
2θ 37.12, intensity 100
2θ 37.28, intensity 52
2θ 50.46, intensity 25
2θ 50.54, intensity 27
2θ 63.91, intensity 31
2θ 64.38, intensity 38

Cell and atoms:
a = 6.0784 Å, b = 6.0784 Å, c = 9.1054 Å
α = 113.91°, β = 113.91°, γ = 46.76°
Atoms (fractional coordinates):
Pr 0.0000 0.0000 0.0000
Pr 0.3314 0.3314 0.3440
Pr 0.6686 0.6686 0.6560
Cu 0.3987 0.3987 0.7258
Cu 0.6013 0.6013 0.2742
Hg 0.0518 0.0518 0.3756
Hg 0.2834 0.2834 0.9333
Hg 0.7166 0.7166 0.0667
Hg 0.9482 0.9482 0.6244

***

Record 2
Calculated X-ray diffraction stick pattern of Cs7K12Ag for a wavelength of 1.5418 Å, from a GGA-PBE-relaxed structure.

The 10 most intense peaks (2θ from 10° to 80°), low angle first:
2θ 19.34, intensity 28
2θ 21.91, intensity 100
2θ 22.17, intensity 31
2θ 25.43, intensity 91
2θ 28.51, intensity 14
2θ 36.10, intensity 36
2θ 36.43, intensity 38
2θ 42.78, intensity 27
2θ 44.68, intensity 17
2θ 59.19, intensity 14

Cell and atoms:
a = 13.1481 Å, b = 13.1481 Å, c = 13.1481 Å
α = 111.13°, β = 111.13°, γ = 111.13°
Atoms (fractional coordinates):
Cs 0.0000 0.0000 0.0000
Cs 0.1994 0.4859 0.3188
Cs 0.3188 0.1994 0.4859
Cs 0.4859 0.3188 0.1994
Cs 0.5141 0.6812 0.8006
Cs 0.6812 0.8006 0.5141
Cs 0.8006 0.5141 0.6812
K 0.0206 0.3323 0.5571
K 0.1140 0.7396 0.1624
K 0.1624 0.1140 0.7396
K 0.2604 0.8376 0.8860
K 0.3323 0.5571 0.0206
K 0.4429 0.9794 0.6677
K 0.5571 0.0206 0.3323
K 0.6677 0.4429 0.9794
K 0.7396 0.1624 0.1140
K 0.8376 0.8860 0.2604
K 0.8860 0.2604 0.8376
K 0.9794 0.6677 0.4429
Ag 0.5000 0.5000 0.5000

***

Record 3
Calculated X-ray diffraction stick pattern of CeErAl6 for a wavelength of 1.5418 Å, from a GGA-PBE-relaxed structure.

The 10 most intense peaks (2θ from 10° to 80°), low angle first:
2θ 16.26, intensity 27
2θ 25.20, intensity 100
2θ 28.35, intensity 47
2θ 32.85, intensity 25
2θ 38.29, intensity 100
2θ 38.81, intensity 22
2θ 48.32, intensity 25
2θ 48.76, intensity 21
2θ 64.85, intensity 18
2θ 72.58, intensity 18

Cell and atoms:
a = 6.2959 Å, b = 6.2959 Å, c = 4.6406 Å
α = 90.00°, β = 90.00°, γ = 120.00°
Atoms (fractional coordinates):
Ce 0.0000 0.0000 0.0000
Er 0.6667 0.3333 0.5000
Al 0.0388 0.5194 0.0000
Al 0.1874 0.3748 0.5000
Al 0.1874 0.8126 0.5000
Al 0.4806 0.5194 0.0000
Al 0.4806 0.9612 0.0000
Al 0.6252 0.8126 0.5000